1.
Starting from a crystal structure in OQMD, relaxed with GGA-PBE, the X-ray diffraction stick pattern of TbLu2Cu4Si2Ge2 was calculated for a wavelength of 1.5418 Å.
Peak positions follow from Bragg's law for the DFT cell and can differ from measured ones.

Crystal structure
a b c (Å): 4.1188 6.5907 13.6562
angles (deg): 90.00 90.00 90.00
Space group Immm (No. 71)
Inequivalent atoms, fractional coordinates:
Tb 0.0000 0.0000 0.0000 x2
Lu 0.0000 0.5000 0.1281 x4
Cu 0.0000 0.3083 0.3354 x8
Si 0.0000 0.1822 0.5000 x4
Ge 0.0000 0.0000 0.2186 x4

The 10 most intense peaks (2θ = 15–90°), sorted by position:
(1 0 1), 22.55°, rel. 17
(0 1 3), 23.76°, rel. 13
(0 2 0), 27.06°, rel. 18
(1 2 1), 35.52°, rel. 100
(1 1 4), 36.81°, rel. 92
(1 2 3), 40.26°, rel. 19
(2 0 0), 43.97°, rel. 29
(0 3 3), 45.86°, rel. 21
(2 1 5), 57.79°, rel. 15
(2 3 3), 65.41°, rel. 14


2.
Starting from a crystal structure in OQMD, relaxed with GGA-PBE, the X-ray diffraction stick pattern of PmMgIn was calculated for a wavelength of 1.5418 Å.
Peak positions follow from Bragg's law for the DFT cell and can differ from measured ones.

Crystal structure
a b c (Å): 5.0144 5.0144 3.6726
angles (deg): 90.00 90.00 120.00
Space group P-6m2 (No. 187)
Inequivalent atoms, fractional coordinates:
Pm 0.0000 0.0000 0.0000 x1
Mg 0.6667 0.3333 0.5000 x1
In 0.3333 0.6667 0.5000 x1

The 10 most intense peaks (2θ = 15–90°), sorted by position:
(1 0 0), 20.45°, rel. 33
(1 0 1), 31.91°, rel. 100
(1 1 0), 35.82°, rel. 57
(2 0 1), 48.72°, rel. 30
(0 0 2), 49.65°, rel. 7
(2 1 1), 61.92°, rel. 29
(1 1 2), 62.72°, rel. 22
(3 0 0), 64.36°, rel. 10
(3 1 1), 84.69°, rel. 12
(3 0 2), 85.40°, rel. 9